Record 1
# SmHf2As4
Calculated powder diffraction line list, CuKα. Input: DFT lattice parameters and positions (GGA-PBE).
Lines closer than 0.1° are merged.

Top 10 peaks for 10° ≤ 2θ ≤ 90°, in order of rising 2θ:
(hkl), d/Å, 2theta, Rel. int.
0 2 3, 3.574, 24.91, 100
0 0 4, 3.228, 27.63, 25
0 2 4, 2.880, 31.05, 63
1 3 1, 2.807, 31.88, 92
1 3 2, 2.628, 34.12, 80
1 1 5, 2.123, 42.58, 68
1 5 2, 2.031, 44.62, 24
2 0 0, 1.947, 46.66, 36
1 5 3, 1.916, 47.45, 33
0 6 3, 1.912, 47.56, 29

```
data_SmHf2As4
_space_group_name_H-M_alt 'C m c m'
_space_group_IT_number 63
_space_group_name_Hall '-C 2c 2'
_cell_length_a 3.893
_cell_length_b 12.802
_cell_length_c 12.920
_cell_angle_alpha 90.00
_cell_angle_beta 90.00
_cell_angle_gamma 90.00
loop_
_atom_site_label
_atom_site_type_symbol
_atom_site_fract_x
_atom_site_fract_y
_atom_site_fract_z
Sm1 Sm 0.000 0.110 0.250
Hf1 Hf 0.000 0.366 0.058
As1 As 0.000 0.000 0.000
As2 As 0.000 0.264 0.625
As3 As 0.000 0.437 0.250
```


Record 2
# AlTl4Cl7
Calculated powder diffraction line list, CuKα. Input: DFT lattice parameters and positions (GGA-PBE).
Lines closer than 0.1° are merged.

Top 10 peaks for 10° ≤ 2θ ≤ 90°, in order of rising 2θ:
(hkl), d/Å, 2theta, Rel. int.
1 1 0, 5.077, 17.47, 55
0 0 2, 4.640, 19.13, 42
1 1 -2, 3.813, 23.33, 88
4 0 -1, 3.763, 23.64, 35
3 1 -1, 3.735, 23.82, 67
4 0 -3, 3.199, 27.89, 39
3 1 1, 2.874, 31.12, 100
0 2 0, 2.750, 32.56, 45
5 1 -3, 2.518, 35.66, 36
1 1 -4, 2.284, 39.45, 26

```
data_AlTl4Cl7
_space_group_name_H-M_alt 'C 1 2 1'
_space_group_IT_number 5
_space_group_name_Hall 'C 2y'
_cell_length_a 15.272
_cell_length_b 5.500
_cell_length_c 10.742
_cell_angle_alpha 90.00
_cell_angle_beta 120.25
_cell_angle_gamma 90.00
loop_
_atom_site_label
_atom_site_type_symbol
_atom_site_fract_x
_atom_site_fract_y
_atom_site_fract_z
Al1 Al 0.000 0.000 0.000
Tl1 Tl 0.069 0.518 0.754
Tl2 Tl 0.228 0.479 0.326
Cl1 Cl 0.000 0.595 0.000
Cl2 Cl 0.058 0.046 0.245
Cl3 Cl 0.140 0.516 0.526
Cl4 Cl 0.157 0.092 0.042
```